Calculated X-ray powder pattern of Sm4GaBiC for Cu Kα (λ = 1.5418 Å), from a crystal structure in Alexandria, relaxed with GGA-PBE.
Intensities are scaled so that the largest is 100.

Most intense lines, 15 to 90 degrees two-theta, in order of rising 2θ:
| two_theta | intensity |
| --- | --- |
| 25.57 | 19.1 |
| 27.92 | 73.5 |
| 33.52 | 28.3 |
| 34.09 | 100.0 |
| 36.47 | 65.1 |
| 50.37 | 36.0 |
| 52.53 | 22.9 |
| 60.53 | 17.0 |
| 63.90 | 16.1 |
| 64.12 | 32.6 |

Structure:
```
14
Lattice="3.483 -8.019 0.000 3.483 8.019 0.000 0.000 0.000 6.972" Properties=species:S:1:pos:R:3 pbc="T T T"
Sm 1.741 4.010 0.000
Sm 1.741 4.010 3.486
Sm 3.483 6.703 5.229
Sm 3.483 1.495 5.229
Sm 1.741 -4.010 0.000
Sm 1.741 -4.010 3.486
Sm 3.483 -1.495 1.743
Sm 3.483 -6.703 1.743
Ga 3.483 6.133 1.743
Ga 3.483 -6.133 5.229
Bi 3.483 1.711 1.743
Bi 3.483 -1.711 5.229
C 3.483 4.037 5.229
C 3.483 -4.037 1.743
```

Calculated X-ray powder pattern of Ag3AsP4 for Cu Kα (λ = 1.5418 Å), from a crystal structure in Alexandria, relaxed with GGA-PBE.
Intensities are scaled so that the largest is 100.

Most intense lines, 15 to 90 degrees two-theta, in order of rising 2θ:
| two_theta | intensity |
| --- | --- |
| 29.18 | 100.0 |
| 32.04 | 56.8 |
| 45.94 | 18.8 |
| 47.93 | 24.3 |
| 49.86 | 40.8 |
| 53.57 | 17.1 |
| 62.16 | 21.3 |
| 74.70 | 18.4 |
| 79.18 | 9.4 |
| 87.97 | 16.3 |

Structure:
```
16
Lattice="6.843 0.000 0.000 0.000 6.843 0.000 0.000 0.000 6.843" Properties=species:S:1:pos:R:3 pbc="T T T"
Ag 0.000 1.711 3.422
Ag 0.000 5.132 3.422
Ag 1.711 3.422 0.000
Ag 3.422 0.000 1.711
Ag 3.422 0.000 5.132
Ag 5.132 3.422 0.000
As 0.000 0.000 0.000
As 3.422 3.422 3.422
P 1.359 1.359 5.484
P 1.359 5.484 1.359
P 2.063 2.063 2.063
P 2.063 4.780 4.780
P 4.780 2.063 4.780
P 4.780 4.780 2.063
P 5.484 1.359 1.359
P 5.484 5.484 5.484
```

Calculated X-ray powder pattern of LaFe5H7 for Cu Kα (λ = 1.5418 Å), from a crystal structure in Alexandria, relaxed with GGA-PBE.
Intensities are scaled so that the largest is 100.

Most intense lines, 15 to 90 degrees two-theta, in order of rising 2θ:
| two_theta | intensity |
| --- | --- |
| 28.31 | 47.8 |
| 31.85 | 36.0 |
| 36.94 | 39.2 |
| 38.74 | 100.0 |
| 43.75 | 22.0 |
| 54.60 | 15.3 |
| 58.56 | 21.2 |
| 61.39 | 25.3 |
| 66.56 | 17.8 |
| 83.10 | 16.9 |

Structure:
```
26
Lattice="5.619 0.000 0.000 -2.810 4.867 0.000 0.000 0.000 8.277" Properties=species:S:1:pos:R:3 pbc="T T T"
La 0.000 0.000 0.000
La 0.000 0.000 4.139
Fe -1.305 2.491 2.068
Fe 0.000 3.244 4.071
Fe 0.000 3.244 7.987
Fe 1.305 2.491 2.068
Fe 0.000 4.751 2.068
Fe 2.810 0.116 6.206
Fe 1.505 2.375 6.206
Fe 2.810 1.622 3.848
Fe 2.810 1.622 8.209
Fe 4.114 2.375 6.206
H -1.378 2.449 0.329
H 0.000 1.361 2.070
H -1.631 4.186 2.070
H 1.178 0.680 6.209
H 0.000 3.244 6.147
H 1.378 2.449 0.329
H 0.000 4.835 0.329
H 2.810 0.031 4.467
H 1.432 2.418 4.467
H 2.810 1.622 2.008
H 1.631 4.186 2.070
H 4.441 0.680 6.209
H 2.810 3.506 6.209
H 4.187 2.418 4.467
```

Calculated X-ray powder pattern of SrZn6Ni3 for Cu Kα (λ = 1.5418 Å), from a crystal structure in Alexandria, relaxed with GGA-PBE.
Intensities are scaled so that the largest is 100.

Most intense lines, 15 to 90 degrees two-theta, in order of rising 2θ:
| two_theta | intensity |
| --- | --- |
| 30.09 | 28.7 |
| 36.40 | 63.3 |
| 39.22 | 92.2 |
| 41.99 | 55.3 |
| 43.31 | 46.0 |
| 43.42 | 23.0 |
| 44.00 | 100.0 |
| 45.68 | 67.3 |
| 70.56 | 29.9 |
| 85.64 | 26.8 |

Structure:
```
10
Lattice="4.620 -2.675 0.000 4.620 2.675 0.000 -3.086 0.000 6.454" Properties=species:S:1:pos:R:3 pbc="T T T"
Sr 0.000 0.000 0.000
Zn 2.320 1.320 1.845
Zn 1.527 0.000 4.296
Zn 3.851 1.345 4.301
Zn 2.320 -1.320 1.845
Zn 4.603 0.000 1.845
Zn 3.851 -1.345 4.301
Ni -0.004 0.000 6.350
Ni 3.073 0.000 6.327
Ni 6.165 0.000 3.668
```

Calculated X-ray powder pattern of La2PmEr6 for Cu Kα (λ = 1.5418 Å), from a crystal structure in Alexandria, relaxed with GGA-PBE.
Intensities are scaled so that the largest is 100.

Most intense lines, 15 to 90 degrees two-theta, in order of rising 2θ:
| two_theta | intensity |
| --- | --- |
| 30.57 | 100.0 |
| 35.27 | 17.1 |
| 35.53 | 33.5 |
| 50.92 | 24.2 |
| 51.12 | 11.9 |
| 60.40 | 14.5 |
| 60.74 | 28.4 |
| 63.63 | 12.3 |
| 83.01 | 11.8 |
| 83.31 | 5.8 |

Structure:
```
18
Lattice="10.721 0.000 0.000 0.000 10.721 0.000 0.000 0.000 5.090" Properties=species:S:1:pos:R:3 pbc="T T T"
La 1.791 1.791 0.000
La 3.569 7.152 2.545
La 7.152 3.569 2.545
La 8.930 8.930 0.000
Pm 0.000 0.000 2.545
Pm 5.361 5.361 0.000
Er 0.026 3.604 2.545
Er 1.756 5.387 0.000
Er 1.792 8.929 0.000
Er 3.568 3.568 2.545
Er 3.604 0.026 2.545
Er 5.334 8.965 0.000
Er 5.387 1.756 0.000
Er 7.117 10.695 2.545
Er 7.153 7.153 2.545
Er 8.929 1.792 0.000
Er 8.965 5.334 0.000
Er 10.695 7.117 2.545
```

Calculated X-ray powder pattern of RbPt4O7 for Cu Kα (λ = 1.5418 Å), from a crystal structure in Alexandria, relaxed with GGA-PBE.
Intensities are scaled so that the largest is 100.

Most intense lines, 15 to 90 degrees two-theta, in order of rising 2θ:
| two_theta | intensity |
| --- | --- |
| 19.73 | 61.6 |
| 24.09 | 39.8 |
| 24.83 | 47.6 |
| 26.03 | 100.0 |
| 26.93 | 59.0 |
| 28.25 | 43.5 |
| 30.70 | 40.4 |
| 33.61 | 46.4 |
| 35.73 | 35.1 |
| 45.19 | 30.9 |

Structure:
```
24
Lattice="14.924 0.000 0.000 0.000 5.938 0.000 0.000 0.000 4.719" Properties=species:S:1:pos:R:3 pbc="T T T"
Rb 0.000 0.643 0.000
Rb 7.462 5.296 2.359
Pt 1.735 3.627 2.245
Pt 3.040 1.008 3.007
Pt 4.422 4.931 0.648
Pt 5.727 2.312 4.604
Pt 9.197 2.312 4.604
Pt 10.502 4.931 0.648
Pt 11.884 1.008 3.007
Pt 13.189 3.627 2.245
O 0.000 4.203 1.575
O 1.355 1.685 2.245
O 2.854 5.297 1.886
O 3.112 2.934 3.395
O 4.350 3.005 1.035
O 4.608 0.641 4.245
O 6.107 4.253 4.604
O 7.462 1.735 3.934
O 8.817 4.253 4.604
O 10.315 0.641 4.245
O 10.574 3.005 1.035
O 11.812 2.934 3.395
O 12.070 5.297 1.886
O 13.569 1.685 2.245
```

Calculated X-ray powder pattern of HoCo4Ge for Cu Kα (λ = 1.5418 Å), from a crystal structure in Alexandria, relaxed with GGA-PBE.
Intensities are scaled so that the largest is 100.

Most intense lines, 15 to 90 degrees two-theta, in order of rising 2θ:
| two_theta | intensity |
| --- | --- |
| 22.23 | 11.3 |
| 25.72 | 9.0 |
| 36.70 | 51.0 |
| 43.32 | 100.0 |
| 45.35 | 22.3 |
| 59.70 | 3.3 |
| 66.08 | 18.2 |
| 70.66 | 29.7 |
| 78.04 | 21.7 |
| 89.48 | 8.3 |

Structure:
```
6
Lattice="0.000 3.463 3.463 3.463 0.000 3.463 3.463 3.463 0.000" Properties=species:S:1:pos:R:3 pbc="T T T"
Ho 0.000 0.000 0.000
Co 4.324 2.603 2.603
Co 2.603 4.324 2.603
Co 2.603 2.603 4.324
Co 4.324 4.324 4.324
Ge 1.732 1.732 1.732
```

Calculated X-ray powder pattern of K2InGa for Cu Kα (λ = 1.5418 Å), from a crystal structure in Alexandria, relaxed with GGA-PBE.
Intensities are scaled so that the largest is 100.

Most intense lines, 15 to 90 degrees two-theta, in order of rising 2θ:
| two_theta | intensity |
| --- | --- |
| 20.04 | 25.7 |
| 22.48 | 24.9 |
| 25.33 | 88.7 |
| 27.29 | 100.0 |
| 30.26 | 39.3 |
| 31.97 | 49.3 |
| 37.60 | 96.8 |
| 39.00 | 77.3 |
| 49.00 | 58.9 |
| 56.63 | 50.8 |

Structure:
```
4
Lattice="2.392 1.381 8.861 -2.392 1.381 8.861 0.000 -2.762 8.861" Properties=species:S:1:pos:R:3 pbc="T T T"
K 0.000 0.000 0.000
K 0.000 0.000 4.804
In 0.000 0.000 11.261
Ga 0.000 0.000 20.126
```

Calculated X-ray powder pattern of Ta2Ti5ZnFe2 for Cu Kα (λ = 1.5418 Å), from a crystal structure in Alexandria, relaxed with GGA-PBE.
Intensities are scaled so that the largest is 100.

Most intense lines, 15 to 90 degrees two-theta, in order of rising 2θ:
| two_theta | intensity |
| --- | --- |
| 19.35 | 31.0 |
| 27.50 | 34.3 |
| 34.54 | 18.5 |
| 35.67 | 43.6 |
| 36.11 | 80.3 |
| 37.20 | 44.1 |
| 38.88 | 28.4 |
| 40.90 | 100.0 |
| 43.78 | 24.0 |
| 73.53 | 19.4 |

Structure:
```
20
Lattice="10.256 0.000 0.000 0.000 10.256 0.000 0.000 0.000 3.011" Properties=species:S:1:pos:R:3 pbc="T T T"
Ta 1.809 3.319 0.000
Ta 3.319 8.447 0.000
Ta 6.937 1.809 0.000
Ta 8.447 6.937 0.000
Ti 0.000 5.128 1.506
Ti 0.607 8.129 1.506
Ti 2.126 0.607 1.506
Ti 3.001 5.735 1.506
Ti 4.520 3.001 1.506
Ti 5.128 0.000 1.506
Ti 5.735 7.254 1.506
Ti 7.254 4.520 1.506
Ti 8.129 9.648 1.506
Ti 9.648 2.126 1.506
Zn 0.000 0.000 0.000
Zn 5.128 5.128 0.000
Fe 1.344 6.472 0.000
Fe 3.784 1.344 0.000
Fe 6.472 8.911 0.000
Fe 8.911 3.784 0.000
```

Calculated X-ray powder pattern of Mg2AgPBr for Cu Kα (λ = 1.5418 Å), from a crystal structure in Alexandria, relaxed with GGA-PBE.
Intensities are scaled so that the largest is 100.

Most intense lines, 15 to 90 degrees two-theta, in order of rising 2θ:
| two_theta | intensity |
| --- | --- |
| 16.51 | 21.7 |
| 23.42 | 73.4 |
| 25.80 | 100.0 |
| 33.37 | 73.7 |
| 40.00 | 22.0 |
| 42.65 | 51.6 |
| 46.88 | 21.4 |
| 47.91 | 25.5 |
| 53.05 | 37.2 |
| 64.13 | 20.6 |

Structure:
```
5
Lattice="5.371 0.000 0.000 0.000 5.371 0.000 0.000 0.000 4.508" Properties=species:S:1:pos:R:3 pbc="T T T"
Mg 0.000 2.685 0.000
Mg 2.685 0.000 0.000
Ag 0.000 0.000 0.000
P 0.000 0.000 2.254
Br 2.685 2.685 2.254
```

Calculated X-ray powder pattern of PmNd4Pt4 for Cu Kα (λ = 1.5418 Å), from a crystal structure in Alexandria, relaxed with GGA-PBE.
Intensities are scaled so that the largest is 100.

Most intense lines, 15 to 90 degrees two-theta, in order of rising 2θ:
| two_theta | intensity |
| --- | --- |
| 17.77 | 14.5 |
| 30.17 | 88.7 |
| 30.29 | 43.9 |
| 43.25 | 100.0 |
| 53.67 | 35.3 |
| 62.74 | 10.8 |
| 71.21 | 29.4 |
| 71.44 | 15.3 |
| 79.28 | 21.9 |
| 79.47 | 11.3 |

Structure:
```
9
Lattice="-4.683 4.683 2.950 4.683 -4.683 2.950 4.683 4.683 -2.950" Properties=species:S:1:pos:R:3 pbc="T T T"
Pm 0.000 0.000 0.000
Nd 5.626 1.771 0.000
Nd 1.771 3.740 0.000
Nd 2.913 0.943 2.950
Nd -0.943 2.913 2.950
Pt 2.750 0.957 0.000
Pt 3.726 -1.933 2.950
Pt 0.957 6.616 0.000
Pt 1.933 3.726 2.950
```

Calculated X-ray powder pattern of Li2Ge2Au5 for Cu Kα (λ = 1.5418 Å), from a crystal structure in Alexandria, relaxed with GGA-PBE.
Intensities are scaled so that the largest is 100.

Most intense lines, 15 to 90 degrees two-theta, in order of rising 2θ:
| two_theta | intensity |
| --- | --- |
| 24.70 | 63.4 |
| 30.67 | 24.5 |
| 38.80 | 93.3 |
| 39.28 | 100.0 |
| 46.96 | 11.8 |
| 48.21 | 12.0 |
| 56.40 | 31.7 |
| 70.89 | 32.5 |
| 71.21 | 17.7 |
| 78.88 | 25.3 |

Structure:
```
9
Lattice="4.587 0.000 0.000 -2.294 3.972 0.000 0.000 0.000 8.580" Properties=species:S:1:pos:R:3 pbc="T T T"
Li 0.000 0.000 0.000
Li 0.000 2.648 4.290
Ge 2.294 1.324 2.692
Ge 2.294 1.324 5.888
Au 0.000 0.000 2.857
Au 0.000 0.000 5.723
Au 0.000 2.648 1.448
Au 0.000 2.648 7.132
Au 2.294 1.324 0.000
```

Copy entry 2 word for word.
Calculated X-ray powder pattern of Ag3AsP4 for Cu Kα (λ = 1.5418 Å), from a crystal structure in Alexandria, relaxed with GGA-PBE.
Intensities are scaled so that the largest is 100.

Most intense lines, 15 to 90 degrees two-theta, in order of rising 2θ:
| two_theta | intensity |
| --- | --- |
| 29.18 | 100.0 |
| 32.04 | 56.8 |
| 45.94 | 18.8 |
| 47.93 | 24.3 |
| 49.86 | 40.8 |
| 53.57 | 17.1 |
| 62.16 | 21.3 |
| 74.70 | 18.4 |
| 79.18 | 9.4 |
| 87.97 | 16.3 |

Structure:
```
16
Lattice="6.843 0.000 0.000 0.000 6.843 0.000 0.000 0.000 6.843" Properties=species:S:1:pos:R:3 pbc="T T T"
Ag 0.000 1.711 3.422
Ag 0.000 5.132 3.422
Ag 1.711 3.422 0.000
Ag 3.422 0.000 1.711
Ag 3.422 0.000 5.132
Ag 5.132 3.422 0.000
As 0.000 0.000 0.000
As 3.422 3.422 3.422
P 1.359 1.359 5.484
P 1.359 5.484 1.359
P 2.063 2.063 2.063
P 2.063 4.780 4.780
P 4.780 2.063 4.780
P 4.780 4.780 2.063
P 5.484 1.359 1.359
P 5.484 5.484 5.484
```

Please write out number 11 again, unchanged.
Calculated X-ray powder pattern of PmNd4Pt4 for Cu Kα (λ = 1.5418 Å), from a crystal structure in Alexandria, relaxed with GGA-PBE.
Intensities are scaled so that the largest is 100.

Most intense lines, 15 to 90 degrees two-theta, in order of rising 2θ:
| two_theta | intensity |
| --- | --- |
| 17.77 | 14.5 |
| 30.17 | 88.7 |
| 30.29 | 43.9 |
| 43.25 | 100.0 |
| 53.67 | 35.3 |
| 62.74 | 10.8 |
| 71.21 | 29.4 |
| 71.44 | 15.3 |
| 79.28 | 21.9 |
| 79.47 | 11.3 |

Structure:
```
9
Lattice="-4.683 4.683 2.950 4.683 -4.683 2.950 4.683 4.683 -2.950" Properties=species:S:1:pos:R:3 pbc="T T T"
Pm 0.000 0.000 0.000
Nd 5.626 1.771 0.000
Nd 1.771 3.740 0.000
Nd 2.913 0.943 2.950
Nd -0.943 2.913 2.950
Pt 2.750 0.957 0.000
Pt 3.726 -1.933 2.950
Pt 0.957 6.616 0.000
Pt 1.933 3.726 2.950
```

Copy entry 3 word for word.
Calculated X-ray powder pattern of LaFe5H7 for Cu Kα (λ = 1.5418 Å), from a crystal structure in Alexandria, relaxed with GGA-PBE.
Intensities are scaled so that the largest is 100.

Most intense lines, 15 to 90 degrees two-theta, in order of rising 2θ:
| two_theta | intensity |
| --- | --- |
| 28.31 | 47.8 |
| 31.85 | 36.0 |
| 36.94 | 39.2 |
| 38.74 | 100.0 |
| 43.75 | 22.0 |
| 54.60 | 15.3 |
| 58.56 | 21.2 |
| 61.39 | 25.3 |
| 66.56 | 17.8 |
| 83.10 | 16.9 |

Structure:
```
26
Lattice="5.619 0.000 0.000 -2.810 4.867 0.000 0.000 0.000 8.277" Properties=species:S:1:pos:R:3 pbc="T T T"
La 0.000 0.000 0.000
La 0.000 0.000 4.139
Fe -1.305 2.491 2.068
Fe 0.000 3.244 4.071
Fe 0.000 3.244 7.987
Fe 1.305 2.491 2.068
Fe 0.000 4.751 2.068
Fe 2.810 0.116 6.206
Fe 1.505 2.375 6.206
Fe 2.810 1.622 3.848
Fe 2.810 1.622 8.209
Fe 4.114 2.375 6.206
H -1.378 2.449 0.329
H 0.000 1.361 2.070
H -1.631 4.186 2.070
H 1.178 0.680 6.209
H 0.000 3.244 6.147
H 1.378 2.449 0.329
H 0.000 4.835 0.329
H 2.810 0.031 4.467
H 1.432 2.418 4.467
H 2.810 1.622 2.008
H 1.631 4.186 2.070
H 4.441 0.680 6.209
H 2.810 3.506 6.209
H 4.187 2.418 4.467
```